This entry pairs a crystal structure of MnV5P6O24 with its calculated PXRD pattern. Radiation: a wavelength of 1.5418 Å. Structure: a DFT-relaxed cell (GGA+U, the Materials Project).
Neutral-atom scattering factors, no anomalous dispersion.

Atomic structure:
a b c (Å): 8.5915 8.5915 8.5915
angles (deg): 60.54 60.54 60.54
Element x y z (fractional)
Mn: 0.0000 0.0000 0.0000
V: 0.1442 0.1442 0.1442
V: 0.2891 0.2891 0.2891
V: 0.4999 0.4999 0.4999
V: 0.6443 0.6443 0.6443
V: 0.7906 0.7906 0.7906
P: 0.1031 0.6860 0.4002
P: 0.1917 0.5976 0.8959
P: 0.4002 0.1031 0.6860
P: 0.5976 0.8959 0.1917
P: 0.6860 0.4002 0.1031
P: 0.8959 0.1917 0.5976
O: 0.0261 0.6402 0.8371
O: 0.0577 0.2063 0.3990
O: 0.0963 0.8798 0.2447
O: 0.1414 0.5272 0.3365
O: 0.1680 0.7473 0.9544
O: 0.2063 0.3990 0.0577
O: 0.2447 0.0963 0.8798
O: 0.2589 0.6340 0.4748
O: 0.3365 0.1414 0.5272
O: 0.3862 0.5733 0.7299
O: 0.3990 0.0577 0.2063
O: 0.4748 0.2589 0.6340
O: 0.5272 0.3365 0.1414
O: 0.5648 0.9076 0.6989
O: 0.5733 0.7299 0.3862
O: 0.6340 0.4748 0.2589
O: 0.6402 0.8371 0.0261
O: 0.6989 0.5648 0.9076
O: 0.7299 0.3862 0.5733
O: 0.7473 0.9544 0.1680
O: 0.8371 0.0261 0.6402
O: 0.8798 0.2447 0.0963
O: 0.9076 0.6989 0.5648
O: 0.9544 0.1680 0.7473

Largest 6 diffraction maxima, sorted by position, 2θ = 10–80°:
Position (°2θ)  I_rel
20.51  63
24.18  100
32.94  60
35.92  31
47.24  24
49.53  23


This entry pairs a crystal structure of MnP6W3O24 with its calculated PXRD pattern. Radiation: a wavelength of 1.5418 Å. Structure: a DFT-relaxed cell (GGA+U, the Materials Project).
Neutral-atom scattering factors, no anomalous dispersion.

Atomic structure:
a b c (Å): 8.9842 8.9842 8.9842
angles (deg): 58.83 58.83 58.83
Element x y z (fractional)
Mn: 0.0000 0.0000 0.0000
P: 0.1016 0.6735 0.3937
P: 0.1761 0.6033 0.8914
P: 0.3937 0.1016 0.6735
P: 0.6033 0.8914 0.1761
P: 0.6735 0.3937 0.1016
P: 0.8914 0.1761 0.6033
W: 0.2826 0.2826 0.2826
W: 0.4966 0.4966 0.4966
W: 0.7828 0.7828 0.7828
O: 0.0089 0.6283 0.8583
O: 0.0620 0.2010 0.4239
O: 0.0922 0.8447 0.2298
O: 0.1298 0.5017 0.3653
O: 0.1657 0.7688 0.9008
O: 0.2010 0.4239 0.0620
O: 0.2298 0.0922 0.8447
O: 0.2711 0.6218 0.4426
O: 0.3544 0.5551 0.7203
O: 0.3653 0.1298 0.5017
O: 0.4239 0.0620 0.2010
O: 0.4426 0.2711 0.6218
O: 0.5017 0.3653 0.1298
O: 0.5551 0.7203 0.3544
O: 0.5704 0.9283 0.6915
O: 0.6218 0.4426 0.2711
O: 0.6283 0.8583 0.0089
O: 0.6915 0.5704 0.9283
O: 0.7203 0.3544 0.5551
O: 0.7688 0.9008 0.1657
O: 0.8447 0.2298 0.0922
O: 0.8583 0.0089 0.6283
O: 0.9008 0.1657 0.7688
O: 0.9283 0.6915 0.5704

Largest 6 diffraction maxima, sorted by position, 2θ = 10–80°:
Position (°2θ)  I_rel
14.07  43
19.77  100
20.12  83
23.47  38
28.36  57
31.56  43


What did the first record say?
This entry pairs a crystal structure of MnV5P6O24 with its calculated PXRD pattern. Radiation: a wavelength of 1.5418 Å. Structure: a DFT-relaxed cell (GGA+U, the Materials Project).
Neutral-atom scattering factors, no anomalous dispersion.

Atomic structure:
a b c (Å): 8.5915 8.5915 8.5915
angles (deg): 60.54 60.54 60.54
Element x y z (fractional)
Mn: 0.0000 0.0000 0.0000
V: 0.1442 0.1442 0.1442
V: 0.2891 0.2891 0.2891
V: 0.4999 0.4999 0.4999
V: 0.6443 0.6443 0.6443
V: 0.7906 0.7906 0.7906
P: 0.1031 0.6860 0.4002
P: 0.1917 0.5976 0.8959
P: 0.4002 0.1031 0.6860
P: 0.5976 0.8959 0.1917
P: 0.6860 0.4002 0.1031
P: 0.8959 0.1917 0.5976
O: 0.0261 0.6402 0.8371
O: 0.0577 0.2063 0.3990
O: 0.0963 0.8798 0.2447
O: 0.1414 0.5272 0.3365
O: 0.1680 0.7473 0.9544
O: 0.2063 0.3990 0.0577
O: 0.2447 0.0963 0.8798
O: 0.2589 0.6340 0.4748
O: 0.3365 0.1414 0.5272
O: 0.3862 0.5733 0.7299
O: 0.3990 0.0577 0.2063
O: 0.4748 0.2589 0.6340
O: 0.5272 0.3365 0.1414
O: 0.5648 0.9076 0.6989
O: 0.5733 0.7299 0.3862
O: 0.6340 0.4748 0.2589
O: 0.6402 0.8371 0.0261
O: 0.6989 0.5648 0.9076
O: 0.7299 0.3862 0.5733
O: 0.7473 0.9544 0.1680
O: 0.8371 0.0261 0.6402
O: 0.8798 0.2447 0.0963
O: 0.9076 0.6989 0.5648
O: 0.9544 0.1680 0.7473

Largest 6 diffraction maxima, sorted by position, 2θ = 10–80°:
Position (°2θ)  I_rel
20.51  63
24.18  100
32.94  60
35.92  31
47.24  24
49.53  23


Please write out number 1 again, unchanged.
This entry pairs a crystal structure of MnV5P6O24 with its calculated PXRD pattern. Radiation: a wavelength of 1.5418 Å. Structure: a DFT-relaxed cell (GGA+U, the Materials Project).
Neutral-atom scattering factors, no anomalous dispersion.

Atomic structure:
a b c (Å): 8.5915 8.5915 8.5915
angles (deg): 60.54 60.54 60.54
Element x y z (fractional)
Mn: 0.0000 0.0000 0.0000
V: 0.1442 0.1442 0.1442
V: 0.2891 0.2891 0.2891
V: 0.4999 0.4999 0.4999
V: 0.6443 0.6443 0.6443
V: 0.7906 0.7906 0.7906
P: 0.1031 0.6860 0.4002
P: 0.1917 0.5976 0.8959
P: 0.4002 0.1031 0.6860
P: 0.5976 0.8959 0.1917
P: 0.6860 0.4002 0.1031
P: 0.8959 0.1917 0.5976
O: 0.0261 0.6402 0.8371
O: 0.0577 0.2063 0.3990
O: 0.0963 0.8798 0.2447
O: 0.1414 0.5272 0.3365
O: 0.1680 0.7473 0.9544
O: 0.2063 0.3990 0.0577
O: 0.2447 0.0963 0.8798
O: 0.2589 0.6340 0.4748
O: 0.3365 0.1414 0.5272
O: 0.3862 0.5733 0.7299
O: 0.3990 0.0577 0.2063
O: 0.4748 0.2589 0.6340
O: 0.5272 0.3365 0.1414
O: 0.5648 0.9076 0.6989
O: 0.5733 0.7299 0.3862
O: 0.6340 0.4748 0.2589
O: 0.6402 0.8371 0.0261
O: 0.6989 0.5648 0.9076
O: 0.7299 0.3862 0.5733
O: 0.7473 0.9544 0.1680
O: 0.8371 0.0261 0.6402
O: 0.8798 0.2447 0.0963
O: 0.9076 0.6989 0.5648
O: 0.9544 0.1680 0.7473

Largest 6 diffraction maxima, sorted by position, 2θ = 10–80°:
Position (°2θ)  I_rel
20.51  63
24.18  100
32.94  60
35.92  31
47.24  24
49.53  23